Diffraction record for Nd2DyZn9. The powder diffractogram is simulated, not measured: it uses a GGA-PBE-relaxed structure and Cu Kα, 1.54184 Å.
Lines closer than 0.1° are merged.

Principal peaks in the range 2θ = 5–70°, most intense first:
Position (°2θ)  intensity
38.73  100.0
32.61  47.7
30.38  38.6
38.00  38.5
33.20  37.4
62.31  23.9
68.33  23.4
41.71  15.2
63.20  14.8
41.33  13.8
56.81  13.7
58.57  13.6

Structure:
```
Nd2DyZn9
1.0
2.7457 1.5852 8.7388
-2.7457 1.5852 8.7388
0.0000 -3.1704 8.7388
Nd Dy Zn
2 1 9
direct
0.1402 0.1402 0.1402 Nd
0.8598 0.8598 0.8598 Nd
0.0000 0.0000 0.0000 Dy
0.0765 0.5821 0.5821 Zn
0.3347 0.3347 0.3347 Zn
0.4179 0.4179 0.9235 Zn
0.4179 0.9235 0.4179 Zn
0.5000 0.5000 0.5000 Zn
0.5821 0.0765 0.5821 Zn
0.5821 0.5821 0.0765 Zn
0.6653 0.6653 0.6653 Zn
0.9235 0.4179 0.4179 Zn
```